The following is a theoretical powder diffractogram of Sm5ThCd6. It was derived from the GGA-PBE geometry in Alexandria, using copper Kα.

Crystal structure
Unit cell a=9.3355 b=9.3355 c=9.3355 alpha=146.54 beta=131.32 gamma=60.36
Sites, in units of the cell vectors:
Sm 0.0000 0.0000 0.0000
Sm 0.1682 0.6682 0.5000
Sm 0.3371 0.3371 0.0000
Sm 0.6629 0.6629 0.0000
Sm 0.8318 0.3318 0.5000
Th 0.5000 0.0000 0.5000
Cd 0.0772 0.8316 0.2456
Cd 0.2404 0.5000 0.7404
Cd 0.4139 0.1684 0.2456
Cd 0.5861 0.8316 0.7544
Cd 0.7596 0.5000 0.2596
Cd 0.9228 0.1684 0.7544

Peak list (6 most intense, 15 to 90 degrees two-theta, in order of rising 2θ)
Position (°2θ), intensity
33.12, 1000
33.32, 493
47.84, 177
59.04, 186
59.42, 364
79.67, 116